1.
Theoretical PXRD pattern of AcSmPa2O8 for Cu Kα X-rays, from a PBE-relaxed structure.

The 8 most intense peaks (2θ = 15–90°), sorted by position:
| Position (°2θ) | I/Imax | index |
| --- | --- | --- |
| 27.85 | 100.0 | 1 1 2 |
| 32.05 | 24.5 | 2 0 0 |
| 32.71 | 11.5 | 0 0 4 |
| 45.96 | 17.1 | 2 2 0 |
| 46.45 | 33.3 | 2 0 4 |
| 54.59 | 32.0 | 3 1 2 |
| 55.45 | 15.5 | 1 1 6 |
| 74.80 | 12.9 | 3 1 6 |

Structure:
Cell: 5.585 5.585 10.952 Å, 90.00 90.00 90.00°
Space group I-4m2 (No. 119)
One atom of each set of equivalent atoms:
Ac 0.000 0.000 0.000 x2
Sm 0.000 0.500 0.750 x2
Pa 0.000 0.000 0.500 x2
Pa 0.000 0.500 0.250 x2
O 0.226 0.244 0.372 x16

2.
Theoretical PXRD pattern of Pa2B6Ir9 for Cu Kα X-rays, from a PBE-relaxed structure.

The 8 most intense peaks (2θ = 15–90°), sorted by position:
| Position (°2θ) | I/Imax | index |
| --- | --- | --- |
| 29.58 | 21.1 | 0 0 3 |
| 35.13 | 46.8 | 1 0 3 |
| 37.56 | 100.0 | 2 0 0 |
| 44.42 | 28.3 | 1 1 3 |
| 48.52 | 36.9 | 2 0 3 |
| 59.54 | 21.2 | 2 1 3 |
| 67.77 | 19.3 | 2 2 0 |
| 74.25 | 22.6 | 2 0 6 |

Structure:
Cell: 5.5307 5.5307 9.0598 Å, 90.00 90.00 120.00°
Space group P6/mmm (No. 191)
One atom of each set of equivalent atoms:
Pa 0.0000 0.0000 0.1919 x2
B 0.3333 0.6667 0.1691 x4
B 0.3333 0.6667 0.5000 x2
Ir 0.0000 0.5000 0.0000 x3
Ir 0.0000 0.5000 0.3398 x6